This entry pairs a crystal structure of ZrIn2Br6 with its theoretical PXRD pattern. Radiation: Cu Kα, 1.54184 Å. Structure: a DFT-relaxed cell (GGA-PBE, Alexandria).
Neutral-atom scattering factors, no anomalous dispersion.

Structure:
```
data_ZrIn2Br6
_chemical_formula_sum 'Zr2 In4 Br12'
_space_group_name_H-M_alt 'P 1 21/c 1'
_space_group_IT_number 14
_cell_length_a 7.4579
_cell_length_b 8.5581
_cell_length_c 12.5368
_cell_angle_alpha 90.00
_cell_angle_beta 124.91
_cell_angle_gamma 90.00
loop_
_space_group_symop_operation_xyz
'x,y,z'
'-x,-y,-z'
'-x,y+1/2,-z+1/2'
'x,-y+1/2,z+1/2'
loop_
_atom_site_label
_atom_site_type_symbol
_atom_site_fract_x
_atom_site_fract_y
_atom_site_fract_z
_atom_site_occupancy
Zr1 Zr 0.0000 0.0000 0.0000 1
In1 In 0.2770 0.1049 0.7621 1
Br1 Br 0.1522 0.0262 0.2495 1
Br2 Br 0.2197 0.7353 0.0510 1
Br3 Br 0.3414 0.1628 0.0444 1
```

Main lines, in order of falling intensity (10° ≤ 2θ ≤ 90°):
- 2θ 13.46, intensity 100
- 2θ 34.90, intensity 64
- 2θ 34.70, intensity 61
- 2θ 27.11, intensity 60
- 2θ 31.83, intensity 58
- 2θ 28.97, intensity 56
- 2θ 33.64, intensity 48
- 2θ 29.20, intensity 41